# CeGaSi
Simulated XRD peak list, CuKα. Input: a DFT-relaxed cell (GGA-PBE, the Materials Project).
Lines closer than 0.1° are merged.

Crystal structure
Cell lengths 4.2100, 4.2100, 14.3461 Å; angles 90.00, 90.00, 90.00 degrees
Space group I4_1md (No. 109)
One atom of each set of equivalent atoms:
Ce: 0.0000 0.0000 0.0000 [4 per cell]
Ga: 0.0000 0.0000 0.5837 [4 per cell]
Si: 0.0000 0.0000 0.4163 [4 per cell]

Principal peaks in the range 15° ≤ 2θ ≤ 90°, in order of rising 2θ:
index, d (Å), two_theta, Rel. int.
0 0 4, 3.587, 24.83, 12
1 0 3, 3.160, 28.24, 42
1 1 2, 2.750, 32.57, 100
1 0 5, 2.371, 37.95, 46
2 0 0, 2.105, 42.97, 36
1 0 7, 1.843, 49.46, 21
2 1 3, 1.752, 52.21, 15
2 1 5, 1.574, 58.65, 25
2 1 7, 1.386, 67.56, 16
3 1 2, 1.309, 72.17, 20



# CeGaSi
Simulated XRD peak list, CuKα. Input: a DFT-relaxed cell (GGA-PBE, the Materials Project).
Lines closer than 0.1° are merged.

Crystal structure
Cell lengths 4.1024, 4.2629, 14.3857 Å; angles 90.00, 90.00, 90.00 degrees
Space group Imma (No. 74)
One atom of each set of equivalent atoms:
Ce: 0.0000 0.2500 0.1341 [4 per cell]
Ga: 0.0000 0.2500 0.5412 [4 per cell]
Si: 0.0000 0.2500 0.7087 [4 per cell]

Principal peaks in the range 15° ≤ 2θ ≤ 90°, in order of rising 2θ:
index, d (Å), two_theta, Rel. int.
0 1 1, 4.087, 21.74, 12
1 0 3, 3.117, 28.64, 42
1 1 2, 2.734, 32.76, 100
0 1 5, 2.385, 37.72, 38
0 2 0, 2.131, 42.41, 20
2 0 0, 2.051, 44.15, 18
1 0 7, 1.837, 49.61, 13
1 2 3, 1.759, 51.97, 16
2 1 5, 1.555, 59.44, 20
2 2 0, 1.478, 62.88, 12